PrZn12: theoretical XRD peak list (Cu Kα (λ = 1.5418 Å)), based on a crystal structure in Alexandria, relaxed with PBE.
Lines closer than 0.1° are merged.

Largest 12 diffraction maxima, sorted by position, 5 to 70 degrees two-theta:
d = 3.187 Å, 27.99°, intensity 21
d = 2.815 Å, 31.79°, intensity 9
d = 2.661 Å, 33.68°, intensity 19
d = 2.591 Å, 34.61°, intensity 47
d = 2.284 Å, 39.46°, intensity 79
d = 2.239 Å, 40.27°, intensity 100
d = 2.225 Å, 40.54°, intensity 59
d = 2.032 Å, 44.60°, intensity 43
d = 2.000 Å, 45.34°, intensity 14
d = 1.990 Å, 45.58°, intensity 19
d = 1.594 Å, 57.86°, intensity 10
d = 1.441 Å, 64.71°, intensity 23

Cell and atoms:
```
PrZn12
1.0
-4.4503 4.4503 2.6609
4.4503 -4.4503 2.6609
4.4503 4.4503 -2.6609
Pr Zn
1 12
direct
0.0000 0.0000 0.0000 Pr
0.0000 0.0000 0.5000 Zn
0.0000 0.3551 0.3551 Zn
0.0000 0.5000 0.0000 Zn
0.0000 0.6449 0.6449 Zn
0.2795 0.5000 0.7795 Zn
0.3551 0.0000 0.3551 Zn
0.5000 0.0000 0.0000 Zn
0.5000 0.2795 0.7795 Zn
0.5000 0.5000 0.5000 Zn
0.5000 0.7205 0.2205 Zn
0.6449 0.0000 0.6449 Zn
0.7205 0.5000 0.2205 Zn
```